(1)
Ca2HoF7: computed X-ray diffraction stick pattern (Cu Kα X-rays), based on a cell relaxed with PBE.
No peak broadening, texture or thermal motion is included.

The 12 most intense peaks (2θ from 10° to 90°), sorted by position:
2theta, d (Å), intensity
23.36, 3.807, 53
23.49, 3.787, 43
23.62, 3.766, 55
23.76, 3.744, 40
26.79, 3.328, 81
29.57, 3.021, 83
31.14, 2.872, 100
45.41, 1.997, 60
45.85, 1.979, 54
46.41, 1.956, 40
47.99, 1.896, 49
50.04, 1.823, 46

Structure:
```
Ca2HoF7
1.0
3.808 -1.823 0.000
3.808 1.823 0.000
-0.664 0.000 29.955
Ca Ho F
6 3 21
direct
0.000 0.000 0.000
0.038 0.038 0.226
0.093 0.093 0.798
0.357 0.357 0.891
0.644 0.644 0.107
0.763 0.763 0.669
0.226 0.226 0.557
0.290 0.290 0.323
0.719 0.719 0.440
0.000 0.000 0.073
0.037 0.037 0.907
0.128 0.128 0.477
0.135 0.135 0.389
0.156 0.156 0.628
0.185 0.185 0.735
0.316 0.316 0.123
0.347 0.347 0.243
0.361 0.361 0.965
0.413 0.413 0.812
0.425 0.425 0.434
0.459 0.459 0.683
0.527 0.527 0.552
0.618 0.618 0.184
0.678 0.678 0.018
0.682 0.682 0.284
0.717 0.717 0.854
0.812 0.812 0.366
0.815 0.815 0.509
0.835 0.835 0.592
0.999 0.999 0.305
```

(2)
Y5RuAu2: computed X-ray diffraction stick pattern (Cu Kα X-rays), based on a cell relaxed with PBE.
No peak broadening, texture or thermal motion is included.

The 12 most intense peaks (2θ from 10° to 90°), sorted by position:
2theta, d (Å), intensity
23.67, 3.759, 22
24.22, 3.674, 22
25.79, 3.455, 29
31.81, 2.813, 100
32.12, 2.787, 71
32.85, 2.726, 32
34.52, 2.598, 58
36.04, 2.492, 53
38.17, 2.358, 62
39.89, 2.260, 18
44.45, 2.038, 21
51.23, 1.783, 18

Structure:
```
Y5RuAu2
1.0
7.346 0.000 0.000
0.000 11.744 0.000
0.000 0.000 4.715
Y Ru Au
10 2 4
direct
0.000 0.000 0.000
0.153 0.295 0.000
0.180 0.585 0.500
0.320 0.085 0.500
0.347 0.795 0.000
0.500 0.500 0.000
0.653 0.205 0.000
0.680 0.915 0.500
0.820 0.415 0.500
0.847 0.705 0.000
0.000 0.500 0.000
0.500 0.000 0.000
0.069 0.837 0.500
0.431 0.337 0.500
0.569 0.663 0.500
0.931 0.163 0.500
```

(3)
Ac2Ge4Ir3: computed X-ray diffraction stick pattern (Cu Kα X-rays), based on a cell relaxed with PBE.
No peak broadening, texture or thermal motion is included.

The 12 most intense peaks (2θ from 10° to 90°), sorted by position:
2theta, d (Å), intensity
13.48, 6.567, 74
27.05, 3.296, 56
32.48, 2.757, 23
35.38, 2.537, 31
35.86, 2.504, 56
37.04, 2.427, 100
38.47, 2.340, 40
41.24, 2.189, 24
41.72, 2.165, 39
55.80, 1.648, 28
59.23, 1.560, 26
63.82, 1.458, 25

Structure:
```
Ac2Ge4Ir3
1.0
0.000 5.074 6.567
2.879 0.000 6.567
2.879 5.074 0.000
Ac Ge Ir
2 4 3
direct
0.135 0.135 0.865
0.865 0.865 0.135
0.184 0.522 0.478
0.478 0.816 0.184
0.522 0.184 0.816
0.816 0.478 0.522
0.000 0.000 0.500
0.500 0.500 0.000
0.500 0.500 0.500
```